[1]
SnPbF: calculated powder XRD pattern (Cu Kα), based on a DFT-relaxed cell (PBE, Alexandria).
Lines closer than 0.1° are merged.

Top 6 peaks for 2θ = 10–90°, sorted by position:
2θ (°)  intensity  index
12.4  28  2 0 0
25.0  41  4 0 0
30.5  28  1 1 1
32.5  100  2 1 1
35.6  34  3 0 2
43.9  30  5 1 1

Structure:
Cell lengths 14.257, 3.458, 5.954 Å; angles 90.00, 90.00, 90.00 degrees
Space group Amm2 (No. 38)
Asymmetric unit:
Sn 0.202 0.000 0.000 x4
Pb 0.000 0.000 0.336 x2
Pb 0.500 0.000 0.496 x2
F 0.327 0.000 0.507 x4

***

[2]
La3YMn4Si4: calculated powder XRD pattern (Cu Kα), based on a DFT-relaxed cell (PBE, Alexandria).
Lines closer than 0.1° are merged.

Top 6 peaks for 2θ = 10–90°, sorted by position:
2θ (°)  intensity  index
25.2  100  1 0 2
32.3  99  1 0 4
33.9  59  1 1 2
39.6  90  1 1 4
45.6  58  2 0 0
52.8  63  1 0 8

Structure:
Cell lengths 3.980, 3.980, 15.429 Å; angles 90.00, 90.00, 90.00 degrees
Space group P4mm (No. 99)
Asymmetric unit:
La 0.000 0.000 0.000 x1
La 0.000 0.000 0.487 x1
La 0.500 0.500 0.815 x1
Y 0.500 0.500 0.312 x1
Mn 0.000 0.500 0.164 x2
Mn 0.000 0.500 0.652 x2
Si 0.000 0.000 0.255 x1
Si 0.000 0.000 0.740 x1
Si 0.500 0.500 0.076 x1
Si 0.500 0.500 0.564 x1

***

[3]
GdNi12B6: calculated powder XRD pattern (Cu Kα), based on a DFT-relaxed cell (PBE, Alexandria).
Lines closer than 0.1° are merged.

Top 6 peaks for 2θ = 10–90°, sorted by position:
2θ (°)  intensity  index
32.6  44  2 0 2
41.3  100  1 3 1
46.7  14  3 1 2
49.8  15  3 0 3
58.1  17  3 3 0
61.6  13  5 0 2

Structure:
Cell lengths 9.5222, 9.5222, 7.3743 Å; angles 90.00, 90.00, 120.00 degrees
Space group R-3m (No. 166, hexagonal axes)
Asymmetric unit:
Gd 0.0000 0.0000 0.0000 x3
Ni 0.0000 0.3692 0.5000 x18
Ni 0.0890 0.1780 0.3647 x18
B 0.0442 0.5221 0.2868 x18

***

[4]
Ac3Te2Au: calculated powder XRD pattern (Cu Kα), based on a DFT-relaxed cell (PBE, Alexandria).
Lines closer than 0.1° are merged.

Top 6 peaks for 2θ = 10–90°, sorted by position:
2θ (°)  intensity  index
26.6  50  0 0 3
26.9  100  1 1 -1
38.2  78  1 1 2
38.5  40  2 0 -1
47.4  43  2 0 2
69.4  28  1 3 1

Structure:
Cell lengths 4.680, 4.681, 10.569 Å; angles 102.77, 102.76, 90.02 degrees
Space group P1 (No. 1)
Asymmetric unit:
Ac 0.000 0.000 0.000 x1
Ac 0.321 0.322 0.645 x1
Ac 0.661 0.661 0.322 x1
Te 0.490 0.490 0.979 x1
Te 0.831 0.833 0.666 x1
Au 0.161 0.161 0.322 x1

***

[5]
CdAsPb: calculated powder XRD pattern (Cu Kα), based on a DFT-relaxed cell (PBE, Alexandria).
Lines closer than 0.1° are merged.

Top 6 peaks for 2θ = 10–90°, sorted by position:
2θ (°)  intensity  index
32.9  100  0 1 3
35.1  92  1 1 0
35.4  82  1 0 3
47.7  36  0 0 6
60.0  41  1 2 3
64.8  28  2 1 3

Structure:
Cell lengths 3.392, 3.889, 11.440 Å; angles 90.00, 90.00, 90.00 degrees
Space group Imm2 (No. 44)
Asymmetric unit:
Cd 0.000 0.000 0.000 x2
As 0.000 0.000 0.369 x2
Pb 0.000 0.000 0.700 x2

***

[6]
PrNd5Y3: calculated powder XRD pattern (Cu Kα), based on a DFT-relaxed cell (PBE, Alexandria).
Lines closer than 0.1° are merged.

Top 6 peaks for 2θ = 10–90°, sorted by position:
2θ (°)  intensity  index
26.3  39  6 0 -2
28.4  97  1 1 -3
29.5  88  5 1 -3
30.0  52  2 2 -1
30.7  100  6 0 0
33.1  100  1 1 3

Structure:
Cell lengths 20.411, 6.281, 11.639 Å; angles 90.00, 121.10, 90.00 degrees
Space group C2/c (No. 15)
Asymmetric unit:
Pr 0.000 0.128 0.250 x4
Nd 0.000 0.392 0.750 x4
Nd 0.142 0.316 0.155 x8
Nd 0.180 0.197 0.840 x8
Y 0.000 0.000 0.000 x4
Y 0.178 0.227 0.531 x8

***

[7]
K3TlBr6: calculated powder XRD pattern (Cu Kα), based on a DFT-relaxed cell (PBE, Alexandria).
Lines closer than 0.1° are merged.

Top 6 peaks for 2θ = 10–90°, sorted by position:
2θ (°)  intensity  index
13.1  100  0 1 1
15.4  80  1 1 -1
26.0  55  2 1 -1
26.8  48  1 0 -4
31.1  49  2 2 -2
34.7  54  2 2 0

Structure:
Cell lengths 7.881, 8.438, 13.487 Å; angles 90.00, 123.86, 90.00 degrees
Space group P2_1/c (No. 14)
Asymmetric unit:
K 0.000 0.000 0.000 x2
K 0.209 0.081 0.741 x4
Tl 0.500 0.000 0.500 x2
Br 0.157 0.177 0.444 x4
Br 0.255 0.722 0.421 x4
Br 0.408 0.059 0.271 x4

***

[8]
ThScRh: calculated powder XRD pattern (Cu Kα), based on a DFT-relaxed cell (PBE, Alexandria).
Lines closer than 0.1° are merged.

Top 6 peaks for 2θ = 10–90°, sorted by position:
2θ (°)  intensity  index
19.8  77  1 0 -2
24.4  53  1 1 -2
31.6  100  1 2 -1
33.6  73  1 1 -3
34.3  69  2 0 0
44.1  53  3 1 -3

Structure:
Cell lengths 6.595, 6.293, 8.989 Å; angles 90.00, 127.61, 90.00 degrees
Space group P2_1/c (No. 14)
Asymmetric unit:
Th 0.215 0.144 0.411 x4
Sc 0.293 0.638 0.600 x4
Rh 0.290 0.574 0.303 x4

***

[9]
SnHRh3: calculated powder XRD pattern (Cu Kα), based on a DFT-relaxed cell (PBE, Alexandria).
Lines closer than 0.1° are merged.

Top 6 peaks for 2θ = 10–90°, sorted by position:
2θ (°)  intensity  index
38.4  52  4 0 0
38.7  49  0 0 2
39.1  100  2 2 -1
44.8  67  2 2 1
45.8  31  4 0 -2
65.8  20  6 2 -1

Structure:
Cell lengths 9.853, 5.662, 4.888 Å; angles 90.00, 107.82, 90.00 degrees
Space group Cm (No. 8)
Asymmetric unit:
Sn 0.000 0.000 0.000 x2
Sn 0.228 0.500 0.442 x2
H 0.114 0.500 0.810 x2
H 0.363 0.000 0.262 x2
Rh 0.230 0.000 0.473 x2
Rh 0.242 0.248 0.959 x4
Rh 0.480 0.252 0.488 x4
Rh 0.485 0.000 0.984 x2

***

[10]
Na8GePb2: calculated powder XRD pattern (Cu Kα), based on a DFT-relaxed cell (PBE, Alexandria).
Lines closer than 0.1° are merged.

Top 6 peaks for 2θ = 10–90°, sorted by position:
2θ (°)  intensity  index
11.4  71  1 1 0
18.0  68  2 0 0
20.4  100  1 1 1
32.9  74  3 1 1
33.0  68  0 4 1
37.9  42  2 4 1

Structure:
Cell lengths 9.861, 12.664, 5.246 Å; angles 90.00, 90.00, 90.00 degrees
Space group Cmmm (No. 65)
Asymmetric unit:
Na 0.000 0.238 0.000 x4
Na 0.163 0.127 0.500 x8
Na 0.179 0.500 0.000 x4
Ge 0.000 0.000 0.000 x2
Pb 0.000 0.381 0.500 x4

***

[11]
CsSb3: calculated powder XRD pattern (Cu Kα), based on a DFT-relaxed cell (PBE, Alexandria).
Lines closer than 0.1° are merged.

Top 6 peaks for 2θ = 10–90°, sorted by position:
2θ (°)  intensity  index
13.2  28  0 0 1
22.2  49  1 0 1
28.6  100  1 1 1
32.1  31  1 0 2
36.0  46  2 0 0
48.2  29  1 1 3

Structure:
Cell lengths 4.984, 4.984, 6.715 Å; angles 90.00, 90.00, 90.00 degrees
Space group P4mm (No. 99)
Asymmetric unit:
Cs 0.000 0.000 0.000 x1
Sb 0.000 0.500 0.518 x2
Sb 0.500 0.500 0.278 x1

***

[12]
Mg3In2Rh3: calculated powder XRD pattern (Cu Kα), based on a DFT-relaxed cell (PBE, Alexandria).
Lines closer than 0.1° are merged.

Top 6 peaks for 2θ = 10–90°, sorted by position:
2θ (°)  intensity  index
20.3  23  0 1 0
32.2  14  1 0 2
38.4  100  1 1 2
41.3  21  0 2 0
41.8  20  2 0 0
73.4  14  1 3 2

Structure:
Cell lengths 4.321, 4.368, 7.269 Å; angles 90.00, 90.00, 90.00 degrees
Space group Pmmm (No. 47)
Asymmetric unit:
Mg 0.000 0.000 0.000 x1
Mg 0.500 0.000 0.279 x2
In 0.000 0.500 0.265 x2
Rh 0.000 0.000 0.500 x1
Rh 0.500 0.500 0.000 x1
Rh 0.500 0.500 0.500 x1